Computed powder X-ray diffraction pattern of Ti3Nb2Tl for CuKα, from a structure optimized by DFT (GGA-PBE).
Intensities are scaled so that the largest is 100.

Principal peaks in the range 10 to 80 degrees two-theta, low angle first:
hkl 0 0 1, 2θ = 12.9°, rel. 30
hkl 1 1 1, 2θ = 20.3°, rel. 30
hkl 0 2 -1, 2θ = 37.7°, rel. 88
hkl 2 0 -1, 2θ = 37.8°, rel. 100
hkl 2 0 2, 2θ = 38.1°, rel. 89
hkl 0 2 2, 2θ = 38.2°, rel. 85
hkl 2 2 1, 2θ = 38.9°, rel. 80
hkl 0 0 3, 2θ = 39.4°, rel. 78
hkl 2 -2 0, 2θ = 52.9°, rel. 32
hkl 2 2 4, 2θ = 57.1°, rel. 31

Structure:
Unit cell a=5.782 b=5.785 c=7.196 alpha=76.01 beta=75.71 gamma=73.57
Space group P-1 (No. 2)
One atom of each set of equivalent atoms:
1 Ti 0.071 0.075 0.164 x2
2 Ti 0.271 0.722 0.494 x2
3 Ti 0.420 0.904 0.858 x2
4 Nb 0.100 0.581 0.147 x2
5 Nb 0.409 0.415 0.830 x2
6 Tl 0.242 0.226 0.505 x2